No. 1
Computed powder X-ray diffraction pattern
Compound: Te6MoW2
Radiation: λ = 1.5418 Å (Cu Kα)
Structure: a PBE-relaxed structure
Kinematic intensities with the Lorentz-polarization factor, no thermal factor.

Structural model:
```
Te6MoW2
1.0
3.5587 0.0000 0.0000
-1.7794 3.0820 0.0000
0.0000 0.0000 32.5864
Te Mo W
6 1 2
direct
0.0000 0.0000 0.0556
0.0000 0.0000 0.9444
0.3333 0.6667 0.1756
0.3333 0.6667 0.2871
0.3333 0.6667 0.7129
0.3333 0.6667 0.8244
0.3333 0.6667 0.0000
0.0000 0.0000 0.2313
0.0000 0.0000 0.7687
```

Principal peaks in the range 10° ≤ 2θ ≤ 90°, in order of rising 2θ:
two_theta	Rel. int.
10.86	100
28.97	39
33.43	53
34.91	68
40.28	28
42.32	57
51.36	39
72.48	18



No. 2
Computed powder X-ray diffraction pattern
Compound: Te4MoW
Radiation: λ = 1.5418 Å (Cu Kα)
Structure: a PBE-relaxed structure
Kinematic intensities with the Lorentz-polarization factor, no thermal factor.

Structural model:
```
Te4MoW
1.0
3.5589 0.0000 0.0000
-1.7795 3.0821 0.0000
0.0000 0.0000 40.1126
Te Mo W
8 2 2
direct
0.0000 0.0000 0.0000
0.0000 0.0000 0.0904
0.0000 0.0000 0.3756
0.0000 0.0000 0.4662
0.3333 0.6667 0.1877
0.3333 0.6667 0.2784
0.3333 0.6667 0.8121
0.3333 0.6667 0.9025
0.0000 0.0000 0.8573
0.3333 0.6667 0.0452
0.0000 0.0000 0.2331
0.3333 0.6667 0.4209
```

Principal peaks in the range 10° ≤ 2θ ≤ 90°, in order of rising 2θ:
two_theta	Rel. int.
11.03	94
28.97	43
34.15	100
41.41	68
43.11	22
51.36	42
67.99	17
72.61	20



No. 3
Computed powder X-ray diffraction pattern
Compound: Te8Mo3W
Radiation: λ = 1.5418 Å (Cu Kα)
Structure: a PBE-relaxed structure
Kinematic intensities with the Lorentz-polarization factor, no thermal factor.

Structural model:
```
Te8Mo3W
1.0
3.5593 0.0000 0.0000
-1.7797 3.0825 0.0000
0.0000 0.0000 40.1072
Te Mo W
8 3 1
direct
0.0000 0.0000 0.0000
0.0000 0.0000 0.0904
0.0000 0.0000 0.3757
0.0000 0.0000 0.4661
0.3333 0.6667 0.1877
0.3333 0.6667 0.2784
0.3333 0.6667 0.8121
0.3333 0.6667 0.9025
0.0000 0.0000 0.8573
0.3333 0.6667 0.0452
0.3333 0.6667 0.4210
0.0000 0.0000 0.2331
```

Principal peaks in the range 10° ≤ 2θ ≤ 90°, in order of rising 2θ:
two_theta	Rel. int.
11.03	86
28.97	45
34.15	100
41.41	70
43.11	23
51.35	44
67.99	17
72.61	20



No. 4
Computed powder X-ray diffraction pattern
Compound: TiMo
Radiation: λ = 1.5418 Å (Cu Kα)
Structure: a PBE-relaxed structure
Kinematic intensities with the Lorentz-polarization factor, no thermal factor.

Structural model:
```
TiMo
1.0
1.5936 -2.3604 0.0000
1.5936 2.3604 0.0000
0.0000 0.0000 4.2507
Ti Mo
1 1
direct
0.0000 0.0000 0.0000
0.5000 0.5000 0.5000
```

Principal peaks in the range 10° ≤ 2θ ≤ 90°, in order of rising 2θ:
two_theta	Rel. int.
20.90	16
38.13	29
40.19	100
42.54	21
58.43	16
70.29	18
76.26	14
86.82	10



No. 5
Computed powder X-ray diffraction pattern
Compound: TiMo
Radiation: λ = 1.5418 Å (Cu Kα)
Structure: a PBE-relaxed structure
Kinematic intensities with the Lorentz-polarization factor, no thermal factor.

Structural model:
```
TiMo
1.0
-1.3281 2.6163 5.0103
1.3281 -2.6163 5.0103
1.3281 2.6163 -5.0103
Ti Mo
2 2
direct
0.3807 0.1307 0.2500
0.6193 0.8693 0.7500
0.1222 0.8722 0.2500
0.8778 0.1278 0.7500
```

Principal peaks in the range 10° ≤ 2θ ≤ 90°, in order of rising 2θ:
two_theta	Rel. int.
19.13	50
34.27	100
34.95	90
35.85	87
43.53	57
49.76	63
50.44	62
56.54	50



No. 6
Computed powder X-ray diffraction pattern
Compound: ZrTiMo4
Radiation: λ = 1.5418 Å (Cu Kα)
Structure: a PBE-relaxed structure
Kinematic intensities with the Lorentz-polarization factor, no thermal factor.

Structural model:
```
ZrTiMo4
1.0
0.0000 3.7688 3.7688
3.7688 0.0000 3.7688
3.7688 3.7688 0.0000
Zr Ti Mo
1 1 4
direct
0.0000 0.0000 0.0000
0.7500 0.7500 0.7500
0.3751 0.3751 0.3751
0.3751 0.3751 0.8747
0.3751 0.8747 0.3751
0.8747 0.3751 0.3751
```

Principal peaks in the range 10° ≤ 2θ ≤ 90°, in order of rising 2θ:
two_theta	Rel. int.
20.41	22
33.63	18
39.66	100
41.50	52
64.21	31
70.70	28
84.24	11
85.44	19



Q: Which formula does entry 3 have?
A: Te8Mo3W



Q: What is the formula in the first record?
A: Te6MoW2